The following is a calculated PXRD pattern of Ba2SrV2O8. It was derived from a crystal structure in Alexandria, relaxed with GGA+U, using Cu Kα.
Kinematic intensities with the Lorentz-polarization factor, no thermal factor.

Cell and atoms:
```
Ba2SrV2O8
1.0
2.9165 1.6839 7.0510
-2.9165 1.6839 7.0510
0.0000 -3.3677 7.0510
Ba Sr V O
2 1 2 8
Cartesian
0.0000 0.0000 0.0000
0.0000 0.0000 4.3125
0.0000 0.0000 8.6596
0.0000 0.0000 12.9419
0.0000 0.0000 16.8255
-1.4275 -0.8242 16.2532
0.0000 -1.6397 13.5502
-1.4200 0.8198 13.5502
0.0000 0.0000 11.1963
0.0000 0.0000 18.5494
1.4275 -0.8242 16.2532
0.0000 1.6483 16.2532
1.4200 0.8198 13.5502
```

Main lines, in order of falling intensity (10 to 80 degrees two-theta):
- 27.5°, I 100
- 30.7°, I 94
- 41.6°, I 45
- 52.6°, I 32
- 46.5°, I 26
- 65.9°, I 19
- 54.5°, I 18
- 63.8°, I 16
- 70.8°, I 14
- 18.1°, I 13